No. 1
Diffraction record for LaInGe. The powder X-ray diffraction pattern is computed, not measured: it uses the PBE geometry in Alexandria and Cu Kα (λ = 1.5418 Å).
Neutral-atom scattering factors, no anomalous dispersion.

Cell and atoms:
Unit cell a=4.478 b=12.294 c=6.082 alpha=90.00 beta=90.00 gamma=90.00
Space group Cmcm (No. 63)
Symmetry-distinct sites (fractional):
La 0.000 0.150 0.250 [4 per cell]
In 0.000 0.446 0.250 [4 per cell]
Ge 0.000 0.183 0.750 [4 per cell]

Top 10 peaks for 10 to 90 degrees two-theta, by intensity:
(1 3 0), 2θ 29.55, 3.023 Å, rel. 100
(0 0 2), 2θ 29.37, 3.041 Å, rel. 80
(1 3 2), 2θ 42.15, 2.144 Å, rel. 76
(1 3 1), 2θ 33.09, 2.707 Å, rel. 58
(2 0 2), 2θ 50.63, 1.803 Å, rel. 34
(2 0 0), 2θ 40.28, 2.239 Å, rel. 34
(1 1 1), 2θ 25.75, 3.460 Å, rel. 27
(0 6 3), 2θ 64.72, 1.440 Å, rel. 22
(0 6 1), 2θ 46.79, 1.942 Å, rel. 21
(1 3 4), 2θ 69.15, 1.358 Å, rel. 17

No. 2
Diffraction record for LaYInGe. The powder X-ray diffraction pattern is computed, not measured: it uses the PBE geometry in Alexandria and Cu Kα (λ = 1.5418 Å).
Neutral-atom scattering factors, no anomalous dispersion.

Cell and atoms:
Unit cell a=7.551 b=7.551 c=7.551 alpha=90.00 beta=90.00 gamma=90.00
Space group F-43m (No. 216)
Symmetry-distinct sites (fractional):
La 0.000 0.000 0.000 [4 per cell]
Y 0.000 0.000 0.500 [4 per cell]
In 0.250 0.250 0.250 [4 per cell]
Ge 0.250 0.250 0.750 [4 per cell]

Top 10 peaks for 10 to 90 degrees two-theta, by intensity:
(2 2 0), 2θ 33.57, 2.670 Å, rel. 100
(4 2 2), 2θ 60.02, 1.541 Å, rel. 36
(4 0 0), 2θ 48.21, 1.888 Å, rel. 18
(6 2 0), 2θ 80.44, 1.194 Å, rel. 15
(4 4 0), 2θ 70.56, 1.335 Å, rel. 11
(1 1 1), 2θ 20.37, 4.359 Å, rel. 5
(3 1 1), 2θ 39.59, 2.277 Å, rel. 3
(3 3 1), 2θ 52.85, 1.732 Å, rel. 1
(2 0 0), 2θ 23.57, 3.775 Å, rel. 1
(5 1 1), 2θ 64.08, 1.453 Å, rel. 1

No. 3
Diffraction record for Li5InGe. The powder X-ray diffraction pattern is computed, not measured: it uses the PBE geometry in Alexandria and Cu Kα (λ = 1.5418 Å).
Neutral-atom scattering factors, no anomalous dispersion.

Cell and atoms:
Unit cell a=12.600 b=5.394 c=9.768 alpha=90.00 beta=128.79 gamma=90.00
Space group C2/c (No. 15)
Symmetry-distinct sites (fractional):
Li 0.000 0.029 0.250 [4 per cell]
Li 0.066 0.265 0.538 [8 per cell]
Li 0.215 0.249 0.117 [8 per cell]
In 0.000 0.455 0.750 [4 per cell]
Ge 0.250 0.250 0.500 [4 per cell]

Top 10 peaks for 10 to 90 degrees two-theta, by intensity:
(2 0 -2), 2θ 18.49, 4.797 Å, rel. 100
(1 1 0), 2θ 18.77, 4.728 Å, rel. 66
(1 1 -2), 2θ 25.23, 3.530 Å, rel. 32
(1 1 1), 2θ 24.99, 3.563 Å, rel. 31
(2 2 0), 2θ 38.07, 2.364 Å, rel. 31
(0 2 2), 2θ 41.01, 2.201 Å, rel. 27
(3 1 -2), 2θ 27.66, 3.225 Å, rel. 25
(4 0 0), 2θ 36.60, 2.455 Å, rel. 22
(3 1 -1), 2θ 27.44, 3.250 Å, rel. 21
(4 0 -4), 2θ 37.49, 2.399 Å, rel. 19

No. 4
Diffraction record for Li6In12Ge. The powder X-ray diffraction pattern is computed, not measured: it uses the PBE geometry in Alexandria and Cu Kα (λ = 1.5418 Å).
Neutral-atom scattering factors, no anomalous dispersion.

Cell and atoms:
Unit cell a=10.5147 b=10.5147 c=13.5461 alpha=90.00 beta=90.00 gamma=120.00
Space group R-3 (No. 148, hexagonal axes)
Symmetry-distinct sites (fractional):
Li 0.0373 0.4380 0.2012 [18 per cell]
In 0.0238 0.1890 0.3195 [18 per cell]
In 0.0461 0.8433 0.9084 [18 per cell]
Ge 0.0000 0.0000 0.5000 [3 per cell]

Top 10 peaks for 10 to 90 degrees two-theta, by intensity:
(2 1 1), 2θ 26.72, 3.336 Å, rel. 100
(3 -1 4), 2θ 37.25, 2.414 Å, rel. 83
(1 3 1), 2θ 36.18, 2.483 Å, rel. 68
(0 1 5), 2θ 34.54, 2.597 Å, rel. 62
(0 3 3), 2θ 35.64, 2.519 Å, rel. 37
(3 1 2), 2θ 38.03, 2.366 Å, rel. 30
(2 0 2), 2θ 23.54, 3.779 Å, rel. 25
(1 2 8), 2θ 61.01, 1.519 Å, rel. 25
(0 0 3), 2θ 19.66, 4.515 Å, rel. 24
(2 2 3), 2θ 39.67, 2.272 Å, rel. 24

No. 5
Diffraction record for Li7In4Ge. The powder X-ray diffraction pattern is computed, not measured: it uses the PBE geometry in Alexandria and Cu Kα (λ = 1.5418 Å).
Neutral-atom scattering factors, no anomalous dispersion.

Cell and atoms:
Unit cell a=13.341 b=5.011 c=8.082 alpha=90.00 beta=117.93 gamma=90.00
Space group C2/m (No. 12)
Symmetry-distinct sites (fractional):
Li 0.000 0.000 0.000 [2 per cell]
Li 0.072 0.500 0.414 [4 per cell]
Li 0.199 0.500 0.879 [4 per cell]
Li 0.208 0.500 0.226 [4 per cell]
In 0.074 0.000 0.711 [4 per cell]
In 0.178 0.000 0.373 [4 per cell]
Ge 0.000 0.500 0.000 [2 per cell]

Top 10 peaks for 10 to 90 degrees two-theta, by intensity:
(1 1 -2), 2θ 28.68, 3.113 Å, rel. 100
(4 0 -2), 2θ 28.87, 3.092 Å, rel. 98
(1 1 0), 2θ 19.25, 4.611 Å, rel. 79
(0 2 0), 2θ 35.84, 2.505 Å, rel. 55
(5 1 -1), 2θ 38.59, 2.333 Å, rel. 54
(1 1 1), 2θ 24.83, 3.586 Å, rel. 45
(4 0 1), 2θ 38.10, 2.362 Å, rel. 42
(4 0 -1), 2θ 26.83, 3.323 Å, rel. 41
(3 1 1), 2θ 35.64, 2.519 Å, rel. 41
(0 0 1), 2θ 12.40, 7.141 Å, rel. 39

No. 6
Diffraction record for LiIn4Ge4O14. The powder X-ray diffraction pattern is computed, not measured: it uses the PBE geometry in Alexandria and Cu Kα (λ = 1.5418 Å).
Neutral-atom scattering factors, no anomalous dispersion.

Cell and atoms:
Unit cell a=7.0741 b=7.0741 c=17.5261 alpha=90.00 beta=90.00 gamma=120.00
Space group R3m (No. 160, hexagonal axes)
Symmetry-distinct sites (fractional):
Li 0.0000 0.0000 0.0000 [3 per cell]
In 0.0000 0.0000 0.2492 [3 per cell]
In 0.1742 0.3484 0.0914 [9 per cell]
Ge 0.0000 0.0000 0.7436 [3 per cell]
Ge 0.0029 0.5014 0.2467 [9 per cell]
O 0.0000 0.0000 0.1190 [3 per cell]
O 0.0000 0.0000 0.3725 [3 per cell]
O 0.0610 0.5305 0.3551 [9 per cell]
O 0.0696 0.5348 0.6049 [9 per cell]
O 0.1970 0.3940 0.4707 [9 per cell]
O 0.1979 0.3958 0.2215 [9 per cell]

Top 10 peaks for 10 to 90 degrees two-theta, by intensity:
(2 0 2), 2θ 30.92, 2.892 Å, rel. 100
(0 2 4), 2θ 35.77, 2.510 Å, rel. 39
(0 0 6), 2θ 30.61, 2.921 Å, rel. 34
(2 2 0), 2θ 51.69, 1.769 Å, rel. 32
(2 0 8), 2θ 51.27, 1.782 Å, rel. 30
(2 2 6), 2θ 61.27, 1.513 Å, rel. 26
(0 4 2), 2θ 61.46, 1.509 Å, rel. 13
(0 2 10), 2θ 60.90, 1.521 Å, rel. 12
(4 2 2), 2θ 84.39, 1.148 Å, rel. 10
(4 0 4), 2θ 64.45, 1.446 Å, rel. 9